Starting from the GGA-PBE geometry in Alexandria, the powder diffractogram of MnPH6CCl3 was simulated for Cu Kα (weighted mean of Kα1 and Kα2).
Intensities are scaled so that the largest is 100.

```
MnPH6CCl3
1.0
6.352 0.000 0.000
-0.123 8.326 0.000
-0.295 -1.230 14.853
Mn P H C Cl
4 4 24 4 12
Cartesian
0.000 0.000 0.000 Mn
-0.112 3.592 7.456 Mn
3.046 8.320 0.005 Mn
3.104 3.595 7.455 Mn
1.590 0.202 4.204 P
1.400 3.719 11.584 P
4.647 4.472 1.624 P
4.631 -0.241 9.016 P
0.439 -0.027 3.419 H
0.304 4.573 11.405 H
0.314 2.194 13.078 H
0.633 7.648 6.260 H
1.192 3.500 13.951 H
1.575 1.560 4.620 H
1.494 6.390 5.312 H
1.476 2.859 10.460 H
2.095 2.122 13.225 H
2.422 7.644 6.197 H
2.723 0.002 3.387 H
2.562 4.506 11.623 H
3.489 5.275 1.529 H
3.478 0.560 8.853 H
3.544 6.512 10.514 H
3.783 2.908 3.203 H
4.476 -0.481 11.409 H
4.660 3.576 0.526 H
4.666 4.240 4.020 H
4.583 7.176 7.929 H
5.330 6.548 10.649 H
5.572 2.930 3.192 H
5.781 5.308 1.521 H
5.774 0.587 8.973 H
1.234 2.794 13.110 C
1.506 7.442 5.630 C
4.427 7.162 10.552 C
4.670 3.552 3.164 C
1.169 7.074 12.934 Cl
1.462 6.564 1.086 Cl
1.584 1.666 1.116 Cl
1.498 3.715 5.518 Cl
1.473 1.750 8.375 Cl
1.517 5.201 8.639 Cl
4.342 5.345 13.878 Cl
4.460 0.496 13.875 Cl
4.762 -0.081 1.997 Cl
4.650 1.831 6.422 Cl
4.685 5.317 6.487 Cl
4.667 3.446 9.456 Cl
```

Largest 6 diffraction maxima, sorted by position, 5 to 70 degrees two-theta:
11.8°, I 100, hkl 0 1 -1; 11.9°, I 97, hkl 0 0 2; 12.6°, I 58, hkl 0 1 1; 27.6°, I 29, hkl 1 -2 2; 28.1°, I 31, hkl 2 0 0; 29.4°, I 26, hkl 1 2 2